1.
Simulated PXRD pattern of NbTlCl4O for Cu Ka, from a structure optimized by DFT (PBE).

Structure:
a = 8.0615 Å, b = 15.1614 Å, c = 12.8190 Å
α = 90.00°, β = 90.00°, γ = 90.00°
Sites, in units of the cell vectors:
Nb 0.1902 0.0911 0.2456
Nb 0.1902 0.4089 0.7456
Nb 0.3098 0.5911 0.2456
Nb 0.3098 0.9089 0.7456
Nb 0.6902 0.0911 0.2544
Nb 0.6902 0.4089 0.7544
Nb 0.8098 0.5911 0.2544
Nb 0.8098 0.9089 0.7544
Tl 0.0110 0.6562 0.8965
Tl 0.0110 0.8438 0.3965
Tl 0.4890 0.1562 0.8965
Tl 0.4890 0.3438 0.3965
Tl 0.5110 0.6562 0.6035
Tl 0.5110 0.8438 0.1035
Tl 0.9890 0.1562 0.6035
Tl 0.9890 0.3438 0.1035
Cl 0.1428 0.1469 0.0723
Cl 0.1428 0.3531 0.5723
Cl 0.1473 0.5575 0.6851
Cl 0.1473 0.9425 0.1851
Cl 0.1534 0.2397 0.3137
Cl 0.1534 0.2603 0.8137
Cl 0.1743 0.0372 0.4230
Cl 0.1743 0.4628 0.9230
Cl 0.3257 0.5372 0.4230
Cl 0.3257 0.9628 0.9230
Cl 0.3466 0.7397 0.3137
Cl 0.3466 0.7603 0.8137
Cl 0.3527 0.0575 0.6851
Cl 0.3527 0.4425 0.1851
Cl 0.3572 0.6469 0.0723
Cl 0.3572 0.8531 0.5723
Cl 0.6428 0.1469 0.4277
Cl 0.6428 0.3531 0.9277
Cl 0.6473 0.5575 0.8149
Cl 0.6473 0.9425 0.3149
Cl 0.6534 0.2397 0.1863
Cl 0.6534 0.2603 0.6863
Cl 0.6743 0.0372 0.0770
Cl 0.6743 0.4628 0.5770
Cl 0.8257 0.5372 0.0770
Cl 0.8257 0.9628 0.5770
Cl 0.8466 0.7397 0.1863
Cl 0.8466 0.7603 0.6863
Cl 0.8527 0.0575 0.8149
Cl 0.8527 0.4425 0.3149
Cl 0.8572 0.6469 0.4277
Cl 0.8572 0.8531 0.9277
O 0.0886 0.5915 0.2413
O 0.0886 0.9085 0.7413
O 0.4114 0.0915 0.2413
O 0.4114 0.4085 0.7413
O 0.5886 0.5915 0.2587
O 0.5886 0.9085 0.7587
O 0.9114 0.0915 0.2587
O 0.9114 0.4085 0.7587

Most intense lines, 15° ≤ 2θ ≤ 90°, by intensity:
2θ 18.63, d = 4.763 Å, rel. 100; 2θ 23.89, d = 3.724 Å, rel. 88; 2θ 34.57, d = 2.595 Å, rel. 67; 2θ 25.98, d = 3.429 Å, rel. 60; 2θ 21.88, d = 4.061 Å, rel. 51; 2θ 38.59, d = 2.333 Å, rel. 27; 2θ 36.75, d = 2.446 Å, rel. 26; 2θ 23.47, d = 3.790 Å, rel. 23

=====

2.
Simulated PXRD pattern of Ta4PbN3 for Cu Ka, from a structure optimized by DFT (PBE).

Structure:
a = 3.1460 Å, b = 3.1460 Å, c = 24.8603 Å
α = 90.00°, β = 90.00°, γ = 120.00°
Sites, in units of the cell vectors:
Ta 0.0000 0.0000 0.1511
Ta 0.0000 0.0000 0.3489
Ta 0.0000 0.0000 0.6511
Ta 0.0000 0.0000 0.8489
Ta 0.3333 0.6667 0.0499
Ta 0.3333 0.6667 0.4501
Ta 0.6667 0.3333 0.5499
Ta 0.6667 0.3333 0.9501
Pb 0.3333 0.6667 0.2500
Pb 0.6667 0.3333 0.7500
N 0.0000 0.0000 0.0000
N 0.0000 0.0000 0.5000
N 0.3333 0.6667 0.6011
N 0.3333 0.6667 0.8989
N 0.6667 0.3333 0.1011
N 0.6667 0.3333 0.3989

Most intense lines, 15° ≤ 2θ ≤ 90°, by intensity:
2θ 37.65, d = 2.389 Å, rel. 100; 2θ 39.59, d = 2.276 Å, rel. 83; 2θ 35.99, d = 2.495 Å, rel. 82; 2θ 70.88, d = 1.330 Å, rel. 66; 2θ 36.13, d = 2.486 Å, rel. 60; 2θ 58.69, d = 1.573 Å, rel. 53; 2θ 33.08, d = 2.708 Å, rel. 40; 2θ 65.97, d = 1.416 Å, rel. 20

=====

3.
Simulated PXRD pattern of KDyErC for Cu Ka, from a structure optimized by DFT (PBE).

Structure:
a = 3.6067 Å, b = 3.6067 Å, c = 20.5680 Å
α = 90.00°, β = 90.00°, γ = 120.00°
Sites, in units of the cell vectors:
K 0.0000 0.0000 0.0000
K 0.3333 0.6667 0.5000
Dy 0.3333 0.6667 0.1860
Dy 0.3333 0.6667 0.8140
Er 0.0000 0.0000 0.3147
Er 0.0000 0.0000 0.6853
C 0.6667 0.3333 0.2514
C 0.6667 0.3333 0.7486

Most intense lines, 15° ≤ 2θ ≤ 90°, by intensity:
2θ 31.47, d = 2.842 Å, rel. 100; 2θ 36.11, d = 2.488 Å, rel. 37; 2θ 25.99, d = 3.428 Å, rel. 23; 2θ 28.58, d = 3.124 Å, rel. 21; 2θ 50.62, d = 1.803 Å, rel. 21; 2θ 57.77, d = 1.596 Å, rel. 15; 2θ 60.83, d = 1.523 Å, rel. 15; 2θ 39.01, d = 2.309 Å, rel. 15

=====

4.
Simulated PXRD pattern of AsPt9 for Cu Ka, from a structure optimized by DFT (PBE).

Structure:
a = 2.8407 Å, b = 3.8791 Å, c = 40.5315 Å
α = 90.00°, β = 90.00°, γ = 90.00°
Sites, in units of the cell vectors:
As 0.2500 0.2500 0.1750
As 0.7500 0.7500 0.8250
Pt 0.2500 0.2500 0.2389
Pt 0.2500 0.2500 0.3089
Pt 0.2500 0.2500 0.3789
Pt 0.2500 0.2500 0.4480
Pt 0.2500 0.2500 0.5174
Pt 0.2500 0.2500 0.5866
Pt 0.2500 0.2500 0.6561
Pt 0.2500 0.2500 0.7258
Pt 0.2500 0.2500 0.7988
Pt 0.7500 0.7500 0.2012
Pt 0.7500 0.7500 0.2742
Pt 0.7500 0.7500 0.3439
Pt 0.7500 0.7500 0.4134
Pt 0.7500 0.7500 0.4826
Pt 0.7500 0.7500 0.5520
Pt 0.7500 0.7500 0.6211
Pt 0.7500 0.7500 0.6911
Pt 0.7500 0.7500 0.7611

Most intense lines, 15° ≤ 2θ ≤ 90°, by intensity:
2θ 39.33, d = 2.291 Å, rel. 100; 2θ 38.81, d = 2.320 Å, rel. 61; 2θ 44.69, d = 2.028 Å, rel. 42; 2θ 40.69, d = 2.217 Å, rel. 37; 2θ 46.86, d = 1.939 Å, rel. 31; 2θ 66.74, d = 1.402 Å, rel. 25; 2θ 46.38, d = 1.958 Å, rel. 25; 2θ 68.04, d = 1.378 Å, rel. 16

=====

5.
Simulated PXRD pattern of SrLiAgGeS4 for Cu Ka, from a structure optimized by DFT (PBE).

Structure:
a = 6.1612 Å, b = 6.1612 Å, c = 6.1612 Å
α = 114.16°, β = 114.16°, γ = 100.45°
Sites, in units of the cell vectors:
Sr 0.0000 0.0000 0.0000
Li 0.7500 0.2500 0.5000
Ag 0.2500 0.7500 0.5000
Ge 0.5000 0.5000 0.0000
S 0.1365 0.5248 0.9836
S 0.4752 0.4588 0.6117
S 0.5412 0.1529 0.0164
S 0.8471 0.8635 0.3883

Most intense lines, 15° ≤ 2θ ≤ 90°, by intensity:
2θ 29.48, d = 3.029 Å, rel. 100; 2θ 48.82, d = 1.866 Å, rel. 50; 2θ 17.38, d = 5.104 Å, rel. 43; 2θ 38.00, d = 2.368 Å, rel. 37; 2θ 31.97, d = 2.800 Å, rel. 35; 2θ 53.97, d = 1.699 Å, rel. 27; 2θ 26.62, d = 3.348 Å, rel. 23; 2θ 80.55, d = 1.193 Å, rel. 14

=====

6.
Simulated PXRD pattern of LiScGa2Pt4 for Cu Ka, from a structure optimized by DFT (PBE).

Structure:
a = 4.5934 Å, b = 4.5934 Å, c = 5.7944 Å
α = 90.00°, β = 90.00°, γ = 90.00°
Sites, in units of the cell vectors:
Li 0.0000 0.0000 0.0000
Sc 0.5000 0.5000 0.5000
Ga 0.0000 0.0000 0.5000
Ga 0.5000 0.5000 0.0000
Pt 0.0000 0.5000 0.2423
Pt 0.0000 0.5000 0.7577
Pt 0.5000 0.0000 0.2423
Pt 0.5000 0.0000 0.7577

Most intense lines, 15° ≤ 2θ ≤ 90°, by intensity:
2θ 41.78, d = 2.162 Å, rel. 100; 2θ 39.23, d = 2.297 Å, rel. 60; 2θ 27.46, d = 3.248 Å, rel. 53; 2θ 72.84, d = 1.298 Å, rel. 39; 2θ 56.68, d = 1.624 Å, rel. 21; 2θ 50.72, d = 1.800 Å, rel. 20; 2θ 30.86, d = 2.897 Å, rel. 20; 2θ 77.98, d = 1.225 Å, rel. 16

=====

7.
Simulated PXRD pattern of BaGaSnPdAu for Cu Ka, from a structure optimized by DFT (PBE).

Structure:
a = 4.7949 Å, b = 4.7949 Å, c = 10.5894 Å
α = 90.00°, β = 90.00°, γ = 90.00°
Sites, in units of the cell vectors:
Ba 0.2500 0.2500 0.2442
Ba 0.7500 0.7500 0.7558
Ga 0.2500 0.2500 0.8782
Ga 0.7500 0.7500 0.1218
Sn 0.2500 0.7500 0.5000
Sn 0.7500 0.2500 0.5000
Pd 0.2500 0.2500 0.6355
Pd 0.7500 0.7500 0.3645
Au 0.2500 0.7500 0.0000
Au 0.7500 0.2500 0.0000

Most intense lines, 15° ≤ 2θ ≤ 90°, by intensity:
2θ 31.33, d = 2.855 Å, rel. 100; 2θ 37.51, d = 2.397 Å, rel. 58; 2θ 63.87, d = 1.457 Å, rel. 30; 2θ 31.47, d = 2.843 Å, rel. 28; 2θ 43.36, d = 2.087 Å, rel. 26; 2θ 54.10, d = 1.695 Å, rel. 20; 2θ 16.74, d = 5.295 Å, rel. 16; 2θ 49.75, d = 1.833 Å, rel. 15

=====

8.
Simulated PXRD pattern of K4Au6S5 for Cu Ka, from a structure optimized by DFT (PBE).

Structure:
a = 9.7892 Å, b = 9.7892 Å, c = 10.0593 Å
α = 90.00°, β = 90.00°, γ = 120.00°
Sites, in units of the cell vectors:
K 0.0000 0.0000 0.0000
K 0.0000 0.0000 0.5000
K 0.0696 0.6535 0.2500
K 0.3465 0.4161 0.2500
K 0.4161 0.3465 0.7500
K 0.5839 0.9304 0.2500
K 0.6535 0.0696 0.7500
K 0.9304 0.5839 0.7500
Au 0.1662 0.4494 0.5866
Au 0.1662 0.4494 0.9134
Au 0.2833 0.8338 0.5866
Au 0.2833 0.8338 0.9134
Au 0.4494 0.1662 0.0866
Au 0.4494 0.1662 0.4134
Au 0.5506 0.7167 0.5866
Au 0.5506 0.7167 0.9134
Au 0.7167 0.5506 0.0866
Au 0.7167 0.5506 0.4134
Au 0.8338 0.2833 0.0866
Au 0.8338 0.2833 0.4134
S 0.0336 0.2588 0.7500
S 0.2252 0.9664 0.7500
S 0.2588 0.0336 0.2500
S 0.3333 0.6667 0.0486
S 0.3333 0.6667 0.4514
S 0.6667 0.3333 0.5486
S 0.6667 0.3333 0.9514
S 0.7412 0.7748 0.7500
S 0.7748 0.7412 0.2500
S 0.9664 0.2252 0.2500

Most intense lines, 15° ≤ 2θ ≤ 90°, by intensity:
2θ 38.88, d = 2.317 Å, rel. 100; 2θ 28.63, d = 3.118 Å, rel. 93; 2θ 29.25, d = 3.053 Å, rel. 84; 2θ 27.84, d = 3.204 Å, rel. 84; 2θ 18.12, d = 4.895 Å, rel. 56; 2θ 33.15, d = 2.702 Å, rel. 49; 2θ 41.80, d = 2.161 Å, rel. 46; 2θ 36.72, d = 2.447 Å, rel. 43